Entry 1:
TaTi5Ru6: theoretical powder diffraction line list (Cu Ka), based on DFT lattice parameters and positions (PBE).
Neutral-atom scattering factors, no anomalous dispersion.

Principal peaks in the range 2θ = 10–90°, in order of rising 2θ:
| d [Å] | two_theta | I (rel.) |
| --- | --- | --- |
| 6.575 | 13.47 | 4 |
| 5.595 | 15.84 | 5 |
| 3.578 | 24.89 | 4 |
| 3.098 | 28.82 | 5 |
| 2.191 | 41.21 | 100 |
| 1.551 | 59.62 | 11 |
| 1.546 | 59.83 | 5 |
| 1.266 | 75.06 | 21 |
| 1.263 | 75.20 | 11 |
| 1.095 | 89.52 | 7 |

Atomic structure:
a = 7.590 Å, b = 7.590 Å, c = 7.590 Å
α = 146.38°, β = 131.93°, γ = 59.94°
Atoms (fractional coordinates):
1 Ta 0.000 0.000 0.000
2 Ti 0.168 0.668 0.500
3 Ti 0.333 0.333 0.000
4 Ti 0.500 0.000 0.500
5 Ti 0.667 0.667 0.000
6 Ti 0.832 0.332 0.500
7 Ru 0.084 0.833 0.251
8 Ru 0.252 0.500 0.752
9 Ru 0.418 0.167 0.251
10 Ru 0.582 0.833 0.749
11 Ru 0.748 0.500 0.248
12 Ru 0.916 0.167 0.749

---

Entry 2:
TaTlRu4: theoretical powder diffraction line list (Cu Ka), based on DFT lattice parameters and positions (PBE).
Neutral-atom scattering factors, no anomalous dispersion.

Principal peaks in the range 2θ = 10–90°, in order of rising 2θ:
| d [Å] | two_theta | I (rel.) |
| --- | --- | --- |
| 4.220 | 21.05 | 3 |
| 2.584 | 34.71 | 50 |
| 2.204 | 40.95 | 100 |
| 2.110 | 42.86 | 22 |
| 1.492 | 62.22 | 19 |
| 1.407 | 66.46 | 32 |
| 1.292 | 73.25 | 25 |
| 1.156 | 83.67 | 8 |
| 1.115 | 87.51 | 12 |
| 1.102 | 88.79 | 8 |

Atomic structure:
a = 5.169 Å, b = 5.169 Å, c = 5.169 Å
α = 60.00°, β = 60.00°, γ = 60.00°
Atoms (fractional coordinates):
1 Ta 0.000 0.000 0.000
2 Tl 0.250 0.250 0.250
3 Ru 0.126 0.625 0.625
4 Ru 0.625 0.126 0.625
5 Ru 0.625 0.625 0.126
6 Ru 0.625 0.625 0.625

---

Entry 3:
Ta2TlRu: theoretical powder diffraction line list (Cu Ka), based on DFT lattice parameters and positions (PBE).
Neutral-atom scattering factors, no anomalous dispersion.

Principal peaks in the range 2θ = 10–90°, in order of rising 2θ:
| d [Å] | two_theta | I (rel.) |
| --- | --- | --- |
| 2.808 | 31.87 | 13 |
| 2.739 | 32.70 | 10 |
| 2.416 | 37.21 | 100 |
| 2.113 | 42.80 | 39 |
| 2.054 | 44.09 | 10 |
| 1.673 | 54.88 | 10 |
| 1.494 | 62.13 | 13 |
| 1.473 | 63.13 | 14 |
| 1.440 | 64.74 | 10 |
| 1.271 | 74.70 | 26 |

Atomic structure:
a = 2.988 Å, b = 2.988 Å, c = 8.216 Å
α = 90.00°, β = 90.00°, γ = 90.00°
Atoms (fractional coordinates):
1 Ta 0.000 0.000 0.211
2 Ta 0.000 0.000 0.789
3 Tl 0.500 0.500 0.500
4 Ru 0.500 0.500 0.000

---

Entry 4:
ZrTaVRu: theoretical powder diffraction line list (Cu Ka), based on DFT lattice parameters and positions (PBE).
Neutral-atom scattering factors, no anomalous dispersion.

Principal peaks in the range 2θ = 10–90°, in order of rising 2θ:
| d [Å] | two_theta | I (rel.) |
| --- | --- | --- |
| 3.725 | 23.89 | 13 |
| 3.226 | 27.65 | 10 |
| 2.281 | 39.50 | 100 |
| 1.945 | 46.69 | 7 |
| 1.863 | 48.90 | 3 |
| 1.613 | 57.10 | 17 |
| 1.480 | 62.77 | 3 |
| 1.443 | 64.60 | 4 |
| 1.317 | 71.66 | 33 |
| 1.141 | 85.05 | 11 |

Atomic structure:
a = 4.562 Å, b = 4.562 Å, c = 4.562 Å
α = 60.00°, β = 60.00°, γ = 60.00°
Atoms (fractional coordinates):
1 Zr 0.000 0.000 0.000
2 Ta 0.500 0.500 0.500
3 V 0.750 0.750 0.750
4 Ru 0.250 0.250 0.250